The following is a simulated powder X-ray diffraction pattern of AcZnPt3. It was derived from the GGA-PBE geometry in Alexandria, using Cu Kα.
No peak broadening, texture or thermal motion is included.

Most intense lines, 10° ≤ 2θ ≤ 80°, sorted by position:
2θ (°)	d/Å	I/Imax
28.1	3.176	693
28.7	3.109	724
38.2	2.353	1000
38.7	2.324	593
40.1	2.248	901
40.7	2.216	558

Structural model:
```
data_AcZnPt3
_chemical_formula_sum 'Ac2 Zn2 Pt6'
_symmetry_space_group_name_H-M 'P 1'
_symmetry_Int_Tables_number 1
_symmetry_space_group_name_Hall 'P 1'
_cell_length_a 6.8094
_cell_length_b 6.8094
_cell_length_c 6.8094
_cell_angle_alpha 132.14
_cell_angle_beta 97.35
_cell_angle_gamma 101.60
loop_
_atom_site_label
_atom_site_type_symbol
_atom_site_fract_x
_atom_site_fract_y
_atom_site_fract_z
_atom_site_occupancy
Ac1 Ac 0.2916 0.0416 0.2500 1
Ac2 Ac 0.7084 0.9584 0.7500 1
Zn1 Zn 0.0000 0.5000 0.5000 1
Zn2 Zn 0.5000 0.5000 0.0000 1
Pt1 Pt 0.0914 0.3414 0.7500 1
Pt2 Pt 0.2489 0.0000 0.7489 1
Pt3 Pt 0.2489 0.5000 0.2489 1
Pt4 Pt 0.7511 0.0000 0.2511 1
Pt5 Pt 0.7511 0.5000 0.7511 1
Pt6 Pt 0.9086 0.6586 0.2500 1
```

The following is a simulated powder X-ray diffraction pattern of K3Bi3Pt2. It was derived from the GGA-PBE geometry in Alexandria, using Cu Kα.
No peak broadening, texture or thermal motion is included.

Most intense lines, 10° ≤ 2θ ≤ 80°, sorted by position:
2θ (°)	d/Å	I/Imax
14.3	6.205	1000
20.1	4.415	277
28.2	3.163	463
36.6	2.454	300
41.4	2.183	482
43.8	2.069	247

Structural model:
```
data_K3Bi3Pt2
_chemical_formula_sum 'K6 Bi6 Pt4'
_symmetry_space_group_name_H-M 'P 1'
_symmetry_Int_Tables_number 1
_symmetry_space_group_name_Hall 'P 1'
_cell_length_a 6.6723
_cell_length_b 6.6723
_cell_length_c 17.3973
_cell_angle_alpha 90.00
_cell_angle_beta 90.00
_cell_angle_gamma 136.84
loop_
_atom_site_label
_atom_site_type_symbol
_atom_site_fract_x
_atom_site_fract_y
_atom_site_fract_z
_atom_site_occupancy
K1 K 0.0429 0.9571 0.6116 1
K2 K 0.0429 0.9571 0.8884 1
K3 K 0.3590 0.6410 0.7500 1
K4 K 0.6410 0.3590 0.2500 1
K5 K 0.9571 0.0429 0.1116 1
K6 K 0.9571 0.0429 0.3884 1
Bi1 Bi 0.3219 0.6781 0.5462 1
Bi2 Bi 0.3219 0.6781 0.9538 1
Bi3 Bi 0.3381 0.6619 0.2500 1
Bi4 Bi 0.6619 0.3381 0.7500 1
Bi5 Bi 0.6781 0.3219 0.0462 1
Bi6 Bi 0.6781 0.3219 0.4538 1
Pt1 Pt 0.2500 0.7500 0.1053 1
Pt2 Pt 0.2500 0.7500 0.3947 1
Pt3 Pt 0.7500 0.2500 0.6053 1
Pt4 Pt 0.7500 0.2500 0.8947 1
```